This entry pairs a crystal structure of K4NpS2ClO10 with its theoretical powder X-ray diffraction pattern. Radiation: Cu Kα (weighted mean of Kα1 and Kα2). Structure: a PBE-relaxed structure.
Intensities are scaled so that the largest is 1000.

Structure:
abc: 10.238 4.582 15.729
angles: 90.00 115.95 90.00
Space group P2/c (No. 13)
Symmetry-distinct sites (fractional):
K 0.065 0.228 0.130 [4 per cell]
K 0.332 0.236 0.893 [4 per cell]
Np 0.500 0.262 0.250 [2 per cell]
S 0.296 0.343 0.569 [4 per cell]
Cl 0.000 0.267 0.750 [2 per cell]
O 0.150 0.251 0.556 [4 per cell]
O 0.311 0.331 0.081 [4 per cell]
O 0.327 0.255 0.490 [4 per cell]
O 0.349 0.261 0.285 [4 per cell]
O 0.414 0.229 0.662 [4 per cell]

Largest 10 diffraction maxima, sorted by position, 15 to 90 degrees two-theta:
2θ = 17.8°, d = 4.981 Å, intensity 457
2θ = 20.4°, d = 4.359 Å, intensity 315
2θ = 23.7°, d = 3.749 Å, intensity 278
2θ = 25.9°, d = 3.445 Å, intensity 1000
2θ = 26.2°, d = 3.407 Å, intensity 513
2θ = 27.1°, d = 3.286 Å, intensity 412
2θ = 27.4°, d = 3.260 Å, intensity 468
2θ = 33.4°, d = 2.687 Å, intensity 384
2θ = 39.3°, d = 2.291 Å, intensity 303
2θ = 42.2°, d = 2.142 Å, intensity 372